For TbPm2Sm3Er6, a cell relaxed with PBE gives the computed powder X-ray diffraction pattern in this record (Cu Kα, 1.54184 Å).
Neutral-atom scattering factors, no anomalous dispersion.

The 10 most intense peaks (2θ from 10° to 80°), in order of rising 2θ:
2θ = 30.70°, intensity 100; 2θ = 30.95°, intensity 33; 2θ = 35.67°, intensity 67; 2θ = 51.17°, intensity 24; 2θ = 51.50°, intensity 24; 2θ = 60.87°, intensity 14; 2θ = 61.01°, intensity 28; 2θ = 61.31°, intensity 14; 2θ = 63.94°, intensity 12; 2θ = 75.55°, intensity 8

Atomic structure:
```
data_TbPm2Sm3Er6
_space_group_name_H-M_alt 'P 1'
_space_group_IT_number 1
_cell_length_a 6.183
_cell_length_b 6.183
_cell_length_c 11.737
_cell_angle_alpha 95.02
_cell_angle_beta 95.02
_cell_angle_gamma 119.98
loop_
_space_group_symop_operation_xyz
'x,y,z'
loop_
_atom_site_label
_atom_site_fract_x
_atom_site_fract_y
_atom_site_fract_z
Tb1 0.000 0.000 0.000
Pm1 0.333 0.667 0.000
Pm2 0.667 0.333 0.000
Sm1 0.167 0.833 0.500
Sm2 0.500 0.500 0.500
Sm3 0.833 0.167 0.500
Er1 0.084 0.417 0.250
Er2 0.249 0.249 0.750
Er3 0.417 0.084 0.250
Er4 0.583 0.916 0.750
Er5 0.751 0.751 0.250
Er6 0.916 0.583 0.750
```